(1)
Diffraction record for LiCu2P3H2O10. The X-ray powder pattern is simulated, not measured: it uses a structure optimized by DFT (GGA-PBE) and Cu Kα X-rays.
Lines closer than 0.1° are merged.

Main lines, low angle first (10 to 90 degrees two-theta):
two_theta  d/Å  I_rel
12.4  7.119  52
12.8  6.914  26
14.7  6.040  99
21.3  4.162  100
23.5  3.778  26
24.7  3.608  28
26.1  3.417  27
28.4  3.143  48
29.1  3.065  21
42.2  2.144  23

a = 7.7511 Å, b = 7.8564 Å, c = 8.9745 Å
α = 68.52°, β = 76.21°, γ = 67.61°
Fractional coordinates of all 36 atoms:
1 Li 0.1817 0.3939 0.1707
2 Li 0.8183 0.6061 0.8293
3 Cu 0.0213 0.1454 0.0255
4 Cu 0.1588 0.0542 0.4569
5 Cu 0.8412 0.9458 0.5431
6 Cu 0.9787 0.8546 0.9745
7 P 0.2103 0.6493 0.5698
8 P 0.2356 0.7521 0.2104
9 P 0.3589 0.2847 0.8405
10 P 0.6411 0.7153 0.1595
11 P 0.7644 0.2479 0.7896
12 P 0.7897 0.3507 0.4302
13 H 0.4797 0.0863 0.2462
14 H 0.4800 0.2125 0.3484
15 H 0.5200 0.7875 0.6516
16 H 0.5203 0.9137 0.7538
17 O 0.0041 0.6858 0.6358
18 O 0.1379 0.6729 0.1362
19 O 0.1546 0.9629 0.2026
20 O 0.2083 0.3645 0.9600
21 O 0.2420 0.6198 0.3953
22 O 0.3014 0.7924 0.5640
23 O 0.3298 0.4364 0.6589
24 O 0.3918 0.0905 0.8299
25 O 0.3971 0.1921 0.2938
26 O 0.4498 0.6913 0.1355
27 O 0.5502 0.3087 0.8645
28 O 0.6029 0.8079 0.7062
29 O 0.6082 0.9095 0.1701
30 O 0.6702 0.5636 0.3411
31 O 0.6986 0.2076 0.4360
32 O 0.7580 0.3802 0.6047
33 O 0.7917 0.6355 0.0400
34 O 0.8454 0.0371 0.7974
35 O 0.8621 0.3271 0.8638
36 O 0.9959 0.3142 0.3642

(2)
Diffraction record for LiCuH3Pd2. The X-ray powder pattern is simulated, not measured: it uses a structure optimized by DFT (GGA-PBE) and Cu Kα X-rays.
Lines closer than 0.1° are merged.

Main lines, low angle first (10 to 90 degrees two-theta):
two_theta  d/Å  I_rel
16.1  5.515  78
33.1  2.707  54
36.9  2.438  35
38.6  2.330  51
39.8  2.264  100
42.8  2.112  42
44.3  2.046  51
58.9  1.567  22
65.7  1.421  23
69.1  1.359  25

a = 6.3453 Å, b = 6.3453 Å, c = 6.3453 Å
α = 50.72°, β = 50.72°, γ = 50.72°
Fractional coordinates of all 14 atoms:
1 Li 0.2115 0.2115 0.2115
2 Li 0.7885 0.7885 0.7885
3 Cu 0.0698 0.0698 0.0698
4 Cu 0.9302 0.9302 0.9302
5 H 0.2675 0.2675 0.7046
6 H 0.2675 0.7046 0.2675
7 H 0.2954 0.7325 0.7325
8 H 0.7046 0.2675 0.2675
9 H 0.7325 0.2954 0.7325
10 H 0.7325 0.7325 0.2954
11 Pd 0.0000 0.5000 0.5000
12 Pd 0.5000 0.0000 0.5000
13 Pd 0.5000 0.5000 0.0000
14 Pd 0.5000 0.5000 0.5000